(1)
# InReMo2
Computed powder X-ray diffraction pattern, Cu Kα, 1.54184 Å. Input: a GGA-PBE-relaxed structure.
No peak broadening, texture or thermal motion is included.

The 10 most intense peaks (10° ≤ 2θ ≤ 80°), by intensity:
- 2θ = 39.64°, rel. 100.0
- 2θ = 71.94°, rel. 33.8
- 2θ = 57.31°, rel. 16.7
- 2θ = 23.97°, rel. 7.4
- 2θ = 46.86°, rel. 4.1
- 2θ = 27.75°, rel. 2.3
- 2θ = 63.01°, rel. 1.8
- 2θ = 77.07°, rel. 1.3
- 2θ = 64.85°, rel. 1.0
- 2θ = 49.08°, rel. 0.7

Structural model:
```
InReMo2
1.0
6.430 0.000 0.000
0.000 6.430 0.000
0.000 0.000 6.430
In Re Mo
4 4 8
Direct
0.000 0.000 0.000
0.000 0.500 0.500
0.500 0.000 0.500
0.500 0.500 0.000
0.250 0.250 0.250
0.250 0.750 0.750
0.750 0.250 0.750
0.750 0.750 0.250
0.000 0.000 0.500
0.000 0.500 0.000
0.250 0.250 0.750
0.250 0.750 0.250
0.500 0.000 0.000
0.500 0.500 0.500
0.750 0.250 0.250
0.750 0.750 0.750
```

***

(2)
# Dy3Sc3SbTeOs
Computed powder X-ray diffraction pattern, Cu Kα, 1.54184 Å. Input: a GGA-PBE-relaxed structure.
No peak broadening, texture or thermal motion is included.

The 10 most intense peaks (10° ≤ 2θ ≤ 80°), by intensity:
- 2θ = 34.19°, rel. 100.0
- 2θ = 31.50°, rel. 96.9
- 2θ = 39.57°, rel. 59.2
- 2θ = 22.54°, rel. 50.0
- 2θ = 41.34°, rel. 47.7
- 2θ = 63.56°, rel. 37.0
- 2θ = 60.87°, rel. 33.4
- 2θ = 44.29°, rel. 27.2
- 2θ = 34.73°, rel. 25.4
- 2θ = 53.27°, rel. 19.9

Structural model:
```
Dy3Sc3SbTeOs
1.0
7.890 0.000 0.000
-3.945 6.833 0.000
0.000 0.000 4.091
Dy Sc Sb Te Os
3 3 1 1 1
Direct
0.004 0.612 0.000
0.388 0.392 0.000
0.608 0.996 0.000
0.001 0.229 0.500
0.228 0.999 0.500
0.771 0.772 0.500
0.333 0.667 0.500
0.667 0.333 0.500
0.000 0.000 0.000
```

***

(3)
# BaCdNiSe3
Computed powder X-ray diffraction pattern, Cu Kα, 1.54184 Å. Input: a GGA-PBE-relaxed structure.
No peak broadening, texture or thermal motion is included.

The 10 most intense peaks (10° ≤ 2θ ≤ 80°), by intensity:
- 2θ = 29.76°, rel. 100.0
- 2θ = 33.52°, rel. 86.4
- 2θ = 35.30°, rel. 48.7
- 2θ = 30.70°, rel. 38.8
- 2θ = 42.31°, rel. 36.5
- 2θ = 43.07°, rel. 34.7
- 2θ = 53.68°, rel. 30.5
- 2θ = 39.08°, rel. 24.3
- 2θ = 56.86°, rel. 23.8
- 2θ = 12.46°, rel. 20.3

Structural model:
```
BaCdNiSe3
1.0
2.100 -7.104 0.000
2.100 7.104 0.000
0.000 0.000 10.169
Ba Cd Ni Se
2 2 2 6
Direct
0.236 0.764 0.750
0.764 0.236 0.250
0.478 0.522 0.250
0.522 0.478 0.750
0.000 0.000 0.000
0.000 0.000 0.500
0.085 0.915 0.250
0.377 0.623 0.036
0.377 0.623 0.464
0.623 0.377 0.536
0.623 0.377 0.964
0.915 0.085 0.750
```

***

(4)
# Dy3InPdPt2Pb2
Computed powder X-ray diffraction pattern, Cu Kα, 1.54184 Å. Input: a GGA-PBE-relaxed structure.
No peak broadening, texture or thermal motion is included.

The 10 most intense peaks (10° ≤ 2θ ≤ 80°), by intensity:
- 2θ = 35.43°, rel. 100.0
- 2θ = 32.65°, rel. 95.3
- 2θ = 35.20°, rel. 91.8
- 2θ = 32.81°, rel. 64.6
- 2θ = 40.21°, rel. 49.5
- 2θ = 47.22°, rel. 38.1
- 2θ = 63.72°, rel. 25.8
- 2θ = 34.99°, rel. 25.6
- 2θ = 39.80°, rel. 25.3
- 2θ = 64.79°, rel. 20.6

Structural model:
```
Dy3InPdPt2Pb2
1.0
3.849 0.000 0.000
0.000 6.794 3.872
0.000 -6.794 3.872
Dy In Pd Pt Pb
3 1 1 2 2
Direct
0.000 0.000 0.000
0.000 0.179 0.580
0.000 0.580 0.179
0.500 0.326 0.326
0.000 0.583 0.583
0.500 0.256 0.930
0.500 0.930 0.256
0.500 0.585 0.849
0.500 0.849 0.585
```

***

(5)
# Dy4BrNCl4
Computed powder X-ray diffraction pattern, Cu Kα, 1.54184 Å. Input: a GGA-PBE-relaxed structure.
No peak broadening, texture or thermal motion is included.

The 10 most intense peaks (10° ≤ 2θ ≤ 80°), by intensity:
- 2θ = 33.18°, rel. 100.0
- 2θ = 11.44°, rel. 91.9
- 2θ = 33.09°, rel. 78.9
- 2θ = 10.89°, rel. 70.9
- 2θ = 42.08°, rel. 28.2
- 2θ = 29.41°, rel. 27.3
- 2θ = 47.63°, rel. 26.4
- 2θ = 47.46°, rel. 25.6
- 2θ = 30.11°, rel. 25.3
- 2θ = 39.12°, rel. 19.5

Structural model:
```
Dy4BrNCl4
1.0
8.379 -1.834 0.000
8.379 1.834 0.000
-1.939 0.000 7.738
Dy Br N Cl
4 1 1 4
Direct
0.001 0.001 0.300
0.357 0.357 0.424
0.643 0.643 0.576
0.999 0.999 0.700
0.500 0.500 0.000
0.500 0.500 0.500
0.165 0.165 0.833
0.171 0.171 0.338
0.829 0.829 0.662
0.835 0.835 0.167
```

***

(6)
# ErAgTeSe
Computed powder X-ray diffraction pattern, Cu Kα, 1.54184 Å. Input: a GGA-PBE-relaxed structure.
No peak broadening, texture or thermal motion is included.

The 10 most intense peaks (10° ≤ 2θ ≤ 80°), by intensity:
- 2θ = 36.77°, rel. 100.0
- 2θ = 27.25°, rel. 60.9
- 2θ = 35.53°, rel. 57.1
- 2θ = 26.99°, rel. 39.4
- 2θ = 32.85°, rel. 36.6
- 2θ = 28.88°, rel. 35.1
- 2θ = 32.59°, rel. 33.2
- 2θ = 44.31°, rel. 33.1
- 2θ = 35.28°, rel. 31.6
- 2θ = 44.98°, rel. 25.9

Structural model:
```
ErAgTeSe
1.0
4.443 0.000 0.000
0.000 6.907 0.000
-0.094 0.000 6.918
Er Ag Te Se
2 2 2 2
Direct
0.198 0.000 0.275
0.802 0.500 0.725
0.002 0.491 0.251
0.998 0.991 0.749
0.300 0.291 0.950
0.700 0.791 0.050
0.284 0.697 0.547
0.716 0.197 0.453
```

***

(7)
# Li2Nb2Al2OsPt
Computed powder X-ray diffraction pattern, Cu Kα, 1.54184 Å. Input: a GGA-PBE-relaxed structure.
No peak broadening, texture or thermal motion is included.

The 9 most intense peaks (10° ≤ 2θ ≤ 80°), by intensity:
- 2θ = 41.27°, rel. 100.0
- 2θ = 24.93°, rel. 96.1
- 2θ = 48.82°, rel. 47.8
- 2θ = 75.24°, rel. 34.0
- 2θ = 65.79°, rel. 19.7
- 2θ = 59.79°, rel. 16.8
- 2θ = 28.86°, rel. 6.3
- 2θ = 67.73°, rel. 2.7
- 2θ = 51.14°, rel. 2.0

Structural model:
```
Li2Nb2Al2OsPt
1.0
4.373 0.000 0.000
0.000 4.373 0.000
0.000 0.000 6.193
Li Nb Al Os Pt
2 2 2 1 1
Direct
0.000 0.000 0.000
0.500 0.500 0.500
0.000 0.500 0.246
0.500 0.000 0.754
0.000 0.500 0.754
0.500 0.000 0.246
0.500 0.500 0.000
0.000 0.000 0.500
```

***

(8)
# Gd2Fe17C3
Computed powder X-ray diffraction pattern, Cu Kα, 1.54184 Å. Input: a GGA-PBE-relaxed structure.
No peak broadening, texture or thermal motion is included.

The 10 most intense peaks (10° ≤ 2θ ≤ 80°), by intensity:
- 2θ = 42.26°, rel. 100.0
- 2θ = 41.85°, rel. 75.5
- 2θ = 43.51°, rel. 48.5
- 2θ = 29.81°, rel. 42.2
- 2θ = 36.03°, rel. 39.8
- 2θ = 37.53°, rel. 31.0
- 2θ = 60.98°, rel. 20.9
- 2θ = 43.17°, rel. 20.7
- 2θ = 61.93°, rel. 19.0
- 2θ = 76.42°, rel. 16.6

Structural model:
```
Gd2Fe17C3
1.0
4.318 2.493 4.163
-4.318 2.493 4.163
0.000 -4.985 4.163
Gd Fe C
2 17 3
Direct
0.157 0.157 0.157
0.843 0.843 0.843
0.000 0.500 0.500
0.157 0.157 0.644
0.157 0.644 0.157
0.216 0.500 0.784
0.216 0.784 0.500
0.356 0.843 0.843
0.405 0.405 0.405
0.500 0.000 0.500
0.500 0.216 0.784
0.500 0.500 0.000
0.500 0.784 0.216
0.595 0.595 0.595
0.644 0.157 0.157
0.784 0.216 0.500
0.784 0.500 0.216
0.843 0.356 0.843
0.843 0.843 0.356
0.000 0.000 0.500
0.000 0.500 0.000
0.500 0.000 0.000
```

***

(9)
# Li2Nb2Si3
Computed powder X-ray diffraction pattern, Cu Kα, 1.54184 Å. Input: a GGA-PBE-relaxed structure.
No peak broadening, texture or thermal motion is included.

The 10 most intense peaks (10° ≤ 2θ ≤ 80°), by intensity:
- 2θ = 39.09°, rel. 100.0
- 2θ = 37.53°, rel. 69.9
- 2θ = 27.24°, rel. 35.7
- 2θ = 25.10°, rel. 33.9
- 2θ = 10.48°, rel. 29.5
- 2θ = 34.70°, rel. 28.2
- 2θ = 25.32°, rel. 24.0
- 2θ = 62.62°, rel. 21.6
- 2θ = 46.87°, rel. 20.6
- 2θ = 50.77°, rel. 16.6

Structural model:
```
Li2Nb2Si3
1.0
1.798 -8.442 0.000
1.798 8.442 0.000
0.000 0.000 6.547
Li Nb Si
4 4 6
Direct
0.189 0.811 0.563
0.189 0.811 0.937
0.811 0.189 0.063
0.811 0.189 0.437
0.350 0.650 0.750
0.449 0.551 0.250
0.551 0.449 0.750
0.650 0.350 0.250
0.062 0.938 0.067
0.062 0.938 0.433
0.267 0.733 0.250
0.733 0.267 0.750
0.938 0.062 0.567
0.938 0.062 0.933
```

***

(10)
# Y2Al5Ag5
Computed powder X-ray diffraction pattern, Cu Kα, 1.54184 Å. Input: a GGA-PBE-relaxed structure.
No peak broadening, texture or thermal motion is included.

The 10 most intense peaks (10° ≤ 2θ ≤ 80°), by intensity:
- 2θ = 38.65°, rel. 100.0
- 2θ = 20.08°, rel. 33.6
- 2θ = 32.68°, rel. 32.1
- 2θ = 38.93°, rel. 30.2
- 2θ = 33.00°, rel. 29.3
- 2θ = 40.80°, rel. 28.3
- 2θ = 62.73°, rel. 22.6
- 2θ = 72.86°, rel. 16.1
- 2θ = 53.22°, rel. 15.3
- 2θ = 18.82°, rel. 15.2

Structural model:
```
Y2Al5Ag5
1.0
4.423 0.000 0.000
0.000 5.428 0.000
0.000 0.000 9.524
Y Al Ag
2 5 5
Direct
0.000 0.000 0.000
0.000 0.500 0.500
0.500 0.000 0.500
0.500 0.248 0.245
0.500 0.248 0.755
0.500 0.752 0.245
0.500 0.752 0.755
0.000 0.000 0.335
0.000 0.000 0.665
0.000 0.500 0.180
0.000 0.500 0.820
0.500 0.500 0.000
```

***

(11)
# CsK3Cd2Sn2
Computed powder X-ray diffraction pattern, Cu Kα, 1.54184 Å. Input: a GGA-PBE-relaxed structure.
No peak broadening, texture or thermal motion is included.

The 10 most intense peaks (10° ≤ 2θ ≤ 80°), by intensity:
- 2θ = 29.00°, rel. 100.0
- 2θ = 15.77°, rel. 96.3
- 2θ = 33.96°, rel. 79.1
- 2θ = 29.46°, rel. 76.2
- 2θ = 12.74°, rel. 59.0
- 2θ = 37.41°, rel. 58.8
- 2θ = 31.82°, rel. 55.0
- 2θ = 18.68°, rel. 53.1
- 2θ = 29.90°, rel. 51.6
- 2θ = 48.64°, rel. 47.1

Structural model:
```
CsK3Cd2Sn2
1.0
7.006 0.000 0.000
0.000 6.660 0.000
-1.833 0.000 6.950
Cs K Cd Sn
1 3 2 2
Direct
0.000 0.000 0.000
0.294 0.500 0.297
0.652 0.000 0.342
0.943 0.500 0.634
0.466 0.251 0.819
0.466 0.749 0.819
0.219 0.000 0.545
0.728 0.500 0.081
```

***

(12)
# CuSnSb2
Computed powder X-ray diffraction pattern, Cu Kα, 1.54184 Å. Input: a GGA-PBE-relaxed structure.
No peak broadening, texture or thermal motion is included.

The 10 most intense peaks (10° ≤ 2θ ≤ 80°), by intensity:
- 2θ = 34.95°, rel. 100.0
- 2θ = 62.68°, rel. 36.0
- 2θ = 50.26°, rel. 17.6
- 2θ = 73.82°, rel. 11.1
- 2θ = 21.19°, rel. 3.4
- 2θ = 41.23°, rel. 1.8
- 2θ = 24.52°, rel. 1.7
- 2θ = 56.69°, rel. 0.9
- 2θ = 55.13°, rel. 0.8
- 2θ = 77.82°, rel. 0.7

Structural model:
```
CuSnSb2
1.0
7.261 0.000 0.000
0.000 7.261 0.000
0.000 0.000 7.261
Cu Sn Sb
4 4 8
Direct
0.000 0.000 0.000
0.000 0.500 0.500
0.500 0.000 0.500
0.500 0.500 0.000
0.250 0.250 0.750
0.250 0.750 0.250
0.750 0.250 0.250
0.750 0.750 0.750
0.000 0.000 0.500
0.000 0.500 0.000
0.250 0.250 0.250
0.250 0.750 0.750
0.500 0.000 0.000
0.500 0.500 0.500
0.750 0.250 0.750
0.750 0.750 0.250
```